# 1
The following is a simulated powder diffractogram of DyTcRuW. It was derived from DFT lattice parameters and positions (GGA-PBE), using a wavelength of 1.5418 Å.
Intensities are scaled so that the largest is 100.

Crystal structure
a b c (Å): 6.479 6.479 6.479
angles (deg): 90.00 90.00 90.00
Fractional positions:
Dy: 0.000 0.000 0.000
Dy: 0.000 0.500 0.500
Dy: 0.500 0.000 0.500
Dy: 0.500 0.500 0.000
Tc: 0.250 0.250 0.750
Tc: 0.250 0.750 0.250
Tc: 0.750 0.250 0.250
Tc: 0.750 0.750 0.750
Ru: 0.250 0.250 0.250
Ru: 0.250 0.750 0.750
Ru: 0.750 0.250 0.750
Ru: 0.750 0.750 0.250
W: 0.000 0.000 0.500
W: 0.000 0.500 0.000
W: 0.500 0.000 0.000
W: 0.500 0.500 0.500

Most intense lines, 2θ = 15–90°, sorted by position:
Position (°2θ)  I/Imax
27.5  8
39.3  100
56.8  17
64.3  3
71.3  34
84.6  11



# 2
The following is a simulated powder diffractogram of Na2TaCr2Te6. It was derived from DFT lattice parameters and positions (GGA-PBE), using a wavelength of 1.5418 Å.
Intensities are scaled so that the largest is 100.

Crystal structure
a b c (Å): 6.940 6.940 7.995
angles (deg): 98.28 98.28 119.64
Fractional positions:
Na: 0.164 0.836 0.000
Na: 0.836 0.164 0.000
Ta: 0.000 0.000 0.500
Cr: 0.332 0.668 0.500
Cr: 0.668 0.332 0.500
Te: 0.068 0.406 0.704
Te: 0.273 0.273 0.297
Te: 0.406 0.068 0.704
Te: 0.594 0.932 0.296
Te: 0.727 0.727 0.703
Te: 0.932 0.594 0.296

Most intense lines, 2θ = 15–90°, sorted by position:
Position (°2θ)  I/Imax
26.9  13
30.0  100
37.7  26
40.8  21
45.1  24
55.3  12



# 3
The following is a simulated powder diffractogram of Pm2SmTaO8. It was derived from DFT lattice parameters and positions (GGA-PBE), using a wavelength of 1.5418 Å.
Intensities are scaled so that the largest is 100.

Crystal structure
a b c (Å): 3.816 5.572 7.546
angles (deg): 90.00 90.13 90.00
Fractional positions:
Pm: 0.001 0.000 0.250
Pm: 0.999 0.000 0.750
Sm: 0.500 0.500 0.000
Ta: 0.500 0.500 0.500
O: 0.000 0.247 0.000
O: 0.000 0.294 0.500
O: 0.000 0.706 0.500
O: 0.000 0.753 0.000
O: 0.499 0.267 0.712
O: 0.499 0.733 0.712
O: 0.501 0.267 0.288
O: 0.501 0.733 0.288

Most intense lines, 2θ = 15–90°, sorted by position:
Position (°2θ)  I/Imax
28.3  100
28.6  99
32.1  23
33.4  41
47.0  69
47.7  17



# 4
The following is a simulated powder diffractogram of BCl2. It was derived from DFT lattice parameters and positions (GGA-PBE), using a wavelength of 1.5418 Å.
Intensities are scaled so that the largest is 100.

Crystal structure
a b c (Å): 6.940 8.388 12.870
angles (deg): 90.00 90.00 90.00
Fractional positions:
B: 0.103 0.053 0.013
B: 0.103 0.447 0.513
B: 0.397 0.553 0.013
B: 0.397 0.947 0.513
B: 0.603 0.053 0.487
B: 0.603 0.447 0.987
B: 0.897 0.553 0.487
B: 0.897 0.947 0.987
Cl: 0.201 0.055 0.138
Cl: 0.201 0.445 0.638
Cl: 0.220 0.160 0.915
Cl: 0.220 0.340 0.415
Cl: 0.280 0.660 0.915
Cl: 0.280 0.840 0.415
Cl: 0.299 0.555 0.138
Cl: 0.299 0.945 0.638
Cl: 0.701 0.055 0.362
Cl: 0.701 0.445 0.862
Cl: 0.720 0.160 0.585
Cl: 0.720 0.340 0.085
Cl: 0.780 0.660 0.585
Cl: 0.780 0.840 0.085
Cl: 0.799 0.555 0.362
Cl: 0.799 0.945 0.862

Most intense lines, 2θ = 15–90°, sorted by position:
Position (°2θ)  I/Imax
18.0  25
25.7  100
27.8  20
28.5  40
30.6  16
38.1  12



# 5
The following is a simulated powder diffractogram of FeCu5Ni4. It was derived from DFT lattice parameters and positions (GGA-PBE), using a wavelength of 1.5418 Å.
Intensities are scaled so that the largest is 100.

Crystal structure
a b c (Å): 6.402 6.402 6.159
angles (deg): 117.39 117.39 33.95
Fractional positions:
Fe: 0.000 0.000 0.000
Cu: 0.000 0.000 0.500
Cu: 0.313 0.313 0.879
Cu: 0.341 0.341 0.302
Cu: 0.659 0.659 0.698
Cu: 0.687 0.687 0.121
Ni: 0.177 0.177 0.416
Ni: 0.475 0.475 0.749
Ni: 0.525 0.525 0.251
Ni: 0.823 0.823 0.584

Most intense lines, 2θ = 15–90°, sorted by position:
Position (°2θ)  I/Imax
44.4  42
45.2  25
45.4  100
46.3  58
48.7  43
51.0  26



# 6
The following is a simulated powder diffractogram of Na5LiP2. It was derived from DFT lattice parameters and positions (GGA-PBE), using a wavelength of 1.5418 Å.
Intensities are scaled so that the largest is 100.

Crystal structure
a b c (Å): 5.006 5.006 17.330
angles (deg): 90.00 90.00 120.00
Fractional positions:
Na: 0.000 0.000 0.130
Na: 0.000 0.000 0.370
Na: 0.000 0.000 0.630
Na: 0.000 0.000 0.870
Na: 0.333 0.667 0.050
Na: 0.333 0.667 0.250
Na: 0.333 0.667 0.450
Na: 0.667 0.333 0.550
Na: 0.667 0.333 0.750
Na: 0.667 0.333 0.950
Li: 0.333 0.667 0.750
Li: 0.667 0.333 0.250
P: 0.333 0.667 0.618
P: 0.333 0.667 0.882
P: 0.667 0.333 0.118
P: 0.667 0.333 0.382

Most intense lines, 2θ = 15–90°, sorted by position:
Position (°2θ)  I/Imax
20.5  25
33.1  54
35.9  100
41.7  21
62.7  21
64.5  17



# 7
The following is a simulated powder diffractogram of Ca5Cr2N6. It was derived from DFT lattice parameters and positions (GGA-PBE), using a wavelength of 1.5418 Å.
Intensities are scaled so that the largest is 100.

Crystal structure
a b c (Å): 6.392 4.978 6.977
angles (deg): 90.00 105.10 90.00
Fractional positions:
Ca: 0.000 0.000 0.000
Ca: 0.128 0.000 0.550
Ca: 0.336 0.500 0.325
Ca: 0.474 0.500 0.826
Ca: 0.817 0.500 0.280
Cr: 0.504 0.000 0.139
Cr: 0.930 0.500 0.723
N: 0.123 0.500 0.576
N: 0.320 0.000 0.284
N: 0.388 0.000 0.888
N: 0.672 0.500 0.581
N: 0.783 0.000 0.236
N: 0.965 0.500 0.979

Most intense lines, 2θ = 15–90°, sorted by position:
Position (°2θ)  I/Imax
22.2  52
32.1  62
32.2  36
33.8  73
35.0  33
36.1  100



# 8
The following is a simulated powder diffractogram of CeSiPd3. It was derived from DFT lattice parameters and positions (GGA-PBE), using a wavelength of 1.5418 Å.
Intensities are scaled so that the largest is 100.

Crystal structure
a b c (Å): 4.069 4.069 11.076
angles (deg): 90.00 90.00 90.00
Fractional positions:
Ce: 0.000 0.000 0.000
Ce: 0.500 0.500 0.500
Si: 0.000 0.000 0.368
Si: 0.500 0.500 0.868
Pd: 0.000 0.000 0.580
Pd: 0.000 0.500 0.253
Pd: 0.000 0.500 0.753
Pd: 0.500 0.000 0.253
Pd: 0.500 0.000 0.753
Pd: 0.500 0.500 0.080

Most intense lines, 2θ = 15–90°, sorted by position:
Position (°2θ)  I/Imax
32.3  17
32.8  23
35.1  100
44.5  36
46.7  17
75.9  21



# 9
The following is a simulated powder diffractogram of Tb3CeRu3. It was derived from DFT lattice parameters and positions (GGA-PBE), using a wavelength of 1.5418 Å.
Intensities are scaled so that the largest is 100.

Crystal structure
a b c (Å): 5.828 5.828 5.828
angles (deg): 108.83 108.83 108.83
Fractional positions:
Tb: 0.197 0.197 0.605
Tb: 0.197 0.605 0.197
Tb: 0.605 0.197 0.197
Ce: 0.794 0.794 0.794
Ru: 0.170 0.697 0.697
Ru: 0.697 0.170 0.697
Ru: 0.697 0.697 0.170

Most intense lines, 2θ = 15–90°, sorted by position:
Position (°2θ)  I/Imax
31.7  39
32.5  43
32.7  46
37.1  100
38.0  91
57.8  40



# 10
The following is a simulated powder diffractogram of Bi2PdO5. It was derived from DFT lattice parameters and positions (GGA-PBE), using a wavelength of 1.5418 Å.
Intensities are scaled so that the largest is 100.

Crystal structure
a b c (Å): 7.985 3.918 15.396
angles (deg): 90.00 90.00 90.00
Fractional positions:
Bi: 0.145 0.250 0.077
Bi: 0.173 0.250 0.757
Bi: 0.327 0.750 0.257
Bi: 0.355 0.750 0.577
Bi: 0.645 0.250 0.423
Bi: 0.673 0.250 0.743
Bi: 0.827 0.750 0.243
Bi: 0.855 0.750 0.923
Pd: 0.087 0.250 0.431
Pd: 0.413 0.750 0.931
Pd: 0.587 0.250 0.069
Pd: 0.913 0.750 0.569
O: 0.084 0.750 0.175
O: 0.084 0.750 0.464
O: 0.118 0.750 0.652
O: 0.206 0.750 0.004
O: 0.240 0.250 0.326
O: 0.260 0.750 0.826
O: 0.294 0.250 0.504
O: 0.382 0.250 0.152
O: 0.416 0.250 0.675
O: 0.416 0.250 0.964
O: 0.584 0.750 0.036
O: 0.584 0.750 0.325
O: 0.618 0.750 0.848
O: 0.706 0.750 0.496
O: 0.740 0.250 0.174
O: 0.760 0.750 0.674
O: 0.794 0.250 0.996
O: 0.882 0.250 0.348
O: 0.916 0.250 0.536
O: 0.916 0.250 0.825

Most intense lines, 2θ = 15–90°, sorted by position:
Position (°2θ)  I/Imax
28.3  86
28.7  100
32.0  50
35.0  21
48.1  43
55.2  27



# 11
The following is a simulated powder diffractogram of Ag3TeSe. It was derived from DFT lattice parameters and positions (GGA-PBE), using a wavelength of 1.5418 Å.
Intensities are scaled so that the largest is 100.

Crystal structure
a b c (Å): 6.768 6.768 6.768
angles (deg): 64.78 64.78 64.78
Fractional positions:
Ag: 0.009 0.519 0.730
Ag: 0.270 0.481 0.991
Ag: 0.481 0.991 0.270
Ag: 0.519 0.730 0.009
Ag: 0.730 0.009 0.519
Ag: 0.991 0.270 0.481
Te: 0.101 0.101 0.101
Te: 0.899 0.899 0.899
Se: 0.378 0.378 0.378
Se: 0.622 0.622 0.622

Most intense lines, 2θ = 15–90°, sorted by position:
Position (°2θ)  I/Imax
24.6  100
33.7  52
36.4  58
39.6  75
42.2  41
44.4  99



# 12
The following is a simulated powder diffractogram of NaAl11O17. It was derived from DFT lattice parameters and positions (GGA-PBE), using a wavelength of 1.5418 Å.
Intensities are scaled so that the largest is 100.

Crystal structure
a b c (Å): 11.848 11.848 11.848
angles (deg): 27.60 27.60 27.60
Fractional positions:
Na: 0.000 0.000 0.000
Al: 0.176 0.176 0.176
Al: 0.233 0.729 0.729
Al: 0.275 0.275 0.275
Al: 0.375 0.375 0.375
Al: 0.420 0.922 0.922
Al: 0.476 0.476 0.476
Al: 0.729 0.233 0.729
Al: 0.729 0.729 0.233
Al: 0.825 0.825 0.825
Al: 0.922 0.420 0.922
Al: 0.922 0.922 0.420
O: 0.015 0.015 0.546
O: 0.015 0.546 0.015
O: 0.107 0.635 0.635
O: 0.122 0.122 0.122
O: 0.224 0.224 0.735
O: 0.224 0.735 0.224
O: 0.325 0.325 0.325
O: 0.423 0.423 0.919
O: 0.423 0.919 0.423
O: 0.529 0.529 0.529
O: 0.546 0.015 0.015
O: 0.635 0.107 0.635
O: 0.635 0.635 0.107
O: 0.731 0.731 0.731
O: 0.735 0.224 0.224
O: 0.919 0.423 0.423
O: 0.921 0.921 0.921

Most intense lines, 2θ = 15–90°, sorted by position:
Position (°2θ)  I/Imax
15.6  100
34.2  58
35.5  71
45.6  97
66.1  82
66.8  63